Diffraction record for Tb4NdY10. The powder XRD pattern is simulated, not measured: it uses a DFT-relaxed cell (PBE, Alexandria) and λ = 1.5418 Å (Cu Kα).
Intensities are scaled so that the largest is 100.

Cell and atoms:
```
Tb4NdY10
1.0
-4.943 4.943 5.375
4.943 -4.943 5.375
4.943 4.943 -5.375
Tb Nd Y
4 1 10
Cartesian
2.766 0.514 0.000
4.429 -2.178 5.375
0.514 7.121 0.000
2.178 4.429 5.375
0.000 0.000 5.375
6.167 2.795 -1.824
2.795 3.720 -1.824
4.943 0.000 2.687
6.167 2.795 1.824
2.149 1.224 3.551
2.795 3.720 1.824
-1.224 2.149 3.551
0.000 4.943 2.687
2.149 1.224 7.199
-1.224 2.149 7.199
```

Largest 10 diffraction maxima, low angle first, 15° ≤ 2θ ≤ 90°:
- 2θ = 21.73°, I 49
- 2θ = 26.46°, I 21
- 2θ = 28.33°, I 17
- 2θ = 28.55°, I 63
- 2θ = 30.51°, I 20
- 2θ = 32.15°, I 100
- 2θ = 33.15°, I 41
- 2θ = 40.82°, I 21
- 2θ = 46.71°, I 18
- 2θ = 59.46°, I 17

Diffraction record for Tb2Nd5Y2. The powder XRD pattern is simulated, not measured: it uses a DFT-relaxed cell (PBE, Alexandria) and λ = 1.5418 Å (Cu Kα).
Intensities are scaled so that the largest is 100.

Cell and atoms:
```
Tb2Nd5Y2
1.0
7.710 -2.568 0.000
7.710 2.568 0.000
-2.588 0.000 7.699
Tb Nd Y
2 5 2
Cartesian
1.269 0.000 1.276
11.564 0.000 6.423
-1.294 0.000 3.850
1.274 0.000 6.428
3.849 0.000 3.847
8.984 0.000 3.853
11.559 0.000 1.271
6.439 0.000 1.263
6.394 0.000 6.436
```

Largest 10 diffraction maxima, low angle first, 15° ≤ 2θ ≤ 90°:
- 2θ = 30.13°, I 100
- 2θ = 34.94°, I 51
- 2θ = 50.23°, I 30
- 2θ = 50.30°, I 6
- 2θ = 59.69°, I 36
- 2θ = 59.78°, I 7
- 2θ = 62.60°, I 6
- 2θ = 62.71°, I 6
- 2θ = 81.70°, I 9
- 2θ = 84.34°, I 9

Diffraction record for Tb4Nd2Y7. The powder XRD pattern is simulated, not measured: it uses a DFT-relaxed cell (PBE, Alexandria) and λ = 1.5418 Å (Cu Kα).
Intensities are scaled so that the largest is 100.

Cell and atoms:
```
Tb4Nd2Y7
1.0
3.187 -5.684 0.000
3.187 5.684 0.000
-2.939 0.000 11.836
Tb Nd Y
4 2 7
Cartesian
3.187 3.119 0.000
-1.225 0.000 11.425
4.660 0.000 0.411
3.187 -3.119 0.000
1.717 1.897 5.918
1.717 -1.897 5.918
-1.469 0.000 5.918
-0.437 1.944 8.750
0.731 0.000 2.951
-0.437 -1.944 8.750
3.872 1.944 3.086
2.704 0.000 8.885
3.872 -1.944 3.086
```

Largest 10 diffraction maxima, low angle first, 15° ≤ 2θ ≤ 90°:
- 2θ = 29.18°, I 41
- 2θ = 29.56°, I 92
- 2θ = 30.20°, I 88
- 2θ = 32.20°, I 34
- 2θ = 32.40°, I 28
- 2θ = 32.97°, I 29
- 2θ = 33.24°, I 35
- 2θ = 33.56°, I 100
- 2θ = 35.88°, I 35
- 2θ = 58.32°, I 23

Diffraction record for TbNd6Y12. The powder XRD pattern is simulated, not measured: it uses a DFT-relaxed cell (PBE, Alexandria) and λ = 1.5418 Å (Cu Kα).
Intensities are scaled so that the largest is 100.

Cell and atoms:
```
TbNd6Y12
1.0
6.707 3.872 4.207
-6.707 3.872 4.207
0.000 -7.744 4.207
Tb Nd Y
1 6 12
Cartesian
0.000 0.000 0.000
0.000 -4.343 3.586
-3.761 2.171 3.586
-3.761 -2.171 9.035
3.761 2.171 3.586
3.761 -2.171 9.035
0.000 4.343 9.035
-1.824 -1.053 3.312
-1.729 -2.995 6.311
-3.458 0.000 6.311
1.824 -1.053 3.312
0.000 2.107 3.312
1.729 -2.995 6.311
-1.729 2.995 6.311
0.000 -2.107 9.309
-1.824 1.053 9.309
3.458 0.000 6.311
1.729 2.995 6.311
1.824 1.053 9.309
```

Largest 10 diffraction maxima, low angle first, 15° ≤ 2θ ≤ 90°:
- 2θ = 28.59°, I 39
- 2θ = 29.33°, I 61
- 2θ = 31.17°, I 64
- 2θ = 31.40°, I 74
- 2θ = 31.61°, I 100
- 2θ = 32.29°, I 29
- 2θ = 33.98°, I 39
- 2θ = 34.19°, I 49
- 2θ = 34.39°, I 57
- 2θ = 56.31°, I 33

Diffraction record for Tb5NdY7. The powder XRD pattern is simulated, not measured: it uses a DFT-relaxed cell (PBE, Alexandria) and λ = 1.5418 Å (Cu Kα).
Intensities are scaled so that the largest is 100.

Cell and atoms:
```
Tb5NdY7
1.0
-3.353 5.582 5.830
3.353 -5.582 5.830
3.353 5.582 -5.830
Tb Nd Y
5 1 7
Cartesian
0.000 0.000 0.000
1.558 3.021 -0.066
1.794 -2.562 5.764
1.558 8.144 -0.066
1.794 2.562 5.764
0.000 5.582 2.230
3.353 3.672 -2.958
3.353 0.000 3.529
0.000 1.911 2.872
0.000 0.000 5.752
3.353 3.704 2.869
0.000 1.879 8.699
0.000 5.582 5.760
```

Largest 10 diffraction maxima, low angle first, 15° ≤ 2θ ≤ 90°:
- 2θ = 15.21°, I 35
- 2θ = 30.71°, I 100
- 2θ = 31.11°, I 67
- 2θ = 31.49°, I 61
- 2θ = 32.07°, I 26
- 2θ = 34.79°, I 87
- 2θ = 35.66°, I 32
- 2θ = 44.27°, I 31
- 2θ = 54.75°, I 26
- 2θ = 57.22°, I 32

Diffraction record for Tb5NdY3. The powder XRD pattern is simulated, not measured: it uses a DFT-relaxed cell (PBE, Alexandria) and λ = 1.5418 Å (Cu Kα).
Intensities are scaled so that the largest is 100.

Cell and atoms:
```
Tb5NdY3
1.0
9.197 -3.173 0.000
9.197 3.173 0.000
-4.271 0.000 10.525
Tb Nd Y
10 2 6
Cartesian
4.831 1.820 3.048
5.993 2.523 7.894
3.385 1.147 6.617
11.426 1.820 2.215
8.601 1.147 9.171
5.521 -1.147 1.354
2.695 -1.820 8.310
10.736 -1.147 3.909
8.129 -2.523 2.631
9.291 -1.820 7.478
8.129 0.839 2.631
5.993 -0.839 7.894
2.030 1.951 10.370
9.956 1.951 5.418
9.197 0.000 0.000
7.061 0.000 5.263
4.166 -1.951 5.107
12.092 -1.951 0.156
```

Largest 10 diffraction maxima, low angle first, 15° ≤ 2θ ≤ 90°:
- 2θ = 16.13°, I 21
- 2θ = 16.85°, I 31
- 2θ = 28.12°, I 59
- 2θ = 30.07°, I 38
- 2θ = 31.25°, I 76
- 2θ = 31.50°, I 100
- 2θ = 32.18°, I 74
- 2θ = 32.34°, I 57
- 2θ = 34.34°, I 43
- 2θ = 55.31°, I 27

Diffraction record for Tb3Nd2Y. The powder XRD pattern is simulated, not measured: it uses a DFT-relaxed cell (PBE, Alexandria) and λ = 1.5418 Å (Cu Kα).
Intensities are scaled so that the largest is 100.

Cell and atoms:
```
Tb3Nd2Y
1.0
8.637 -2.825 0.000
8.637 2.825 0.000
-5.773 0.000 8.189
Tb Nd Y
6 4 2
Cartesian
-1.457 0.000 3.185
1.697 0.000 4.686
4.700 0.000 2.803
6.800 0.000 5.386
9.803 0.000 3.504
12.958 0.000 5.004
-1.045 0.000 7.166
7.696 0.000 1.175
3.804 0.000 7.014
12.545 0.000 1.024
1.515 0.000 1.077
9.985 0.000 7.112
```

Largest 10 diffraction maxima, low angle first, 15° ≤ 2θ ≤ 90°:
- 2θ = 27.45°, I 7
- 2θ = 30.54°, I 9
- 2θ = 31.12°, I 100
- 2θ = 31.67°, I 26
- 2θ = 44.24°, I 6
- 2θ = 44.95°, I 11
- 2θ = 55.32°, I 6
- 2θ = 55.42°, I 6
- 2θ = 56.07°, I 16
- 2θ = 61.37°, I 7

Diffraction record for Tb2Nd5Y6. The powder XRD pattern is simulated, not measured: it uses a DFT-relaxed cell (PBE, Alexandria) and λ = 1.5418 Å (Cu Kα).
Intensities are scaled so that the largest is 100.

Cell and atoms:
```
Tb2Nd5Y6
1.0
11.766 0.000 0.000
0.000 20.693 0.000
0.000 0.000 3.617
Tb Nd Y
4 10 12
Cartesian
2.005 4.352 0.000
3.878 14.698 0.000
7.888 5.994 0.000
9.761 16.341 0.000
0.000 10.346 1.809
0.990 15.986 1.809
2.354 1.020 1.809
3.529 11.366 1.809
4.893 5.639 1.809
5.883 0.000 1.809
6.873 15.053 1.809
8.237 9.327 1.809
9.412 19.673 1.809
10.776 4.707 1.809
0.698 19.011 0.000
0.955 13.060 0.000
2.073 7.504 1.809
3.810 17.850 1.809
4.928 2.714 0.000
5.184 8.665 0.000
6.581 12.028 0.000
6.838 17.979 0.000
7.956 2.842 1.809
9.692 13.189 1.809
10.811 7.632 0.000
11.067 1.682 0.000
```

Largest 10 diffraction maxima, low angle first, 15° ≤ 2θ ≤ 90°:
- 2θ = 26.94°, I 19
- 2θ = 30.26°, I 17
- 2θ = 30.70°, I 51
- 2θ = 31.15°, I 100
- 2θ = 31.43°, I 18
- 2θ = 31.81°, I 76
- 2θ = 33.86°, I 26
- 2θ = 36.21°, I 32
- 2θ = 50.46°, I 18
- 2θ = 60.23°, I 17

Diffraction record for Tb7Nd3Y. The powder XRD pattern is simulated, not measured: it uses a DFT-relaxed cell (PBE, Alexandria) and λ = 1.5418 Å (Cu Kα).
Intensities are scaled so that the largest is 100.

Cell and atoms:
```
Tb7Nd3Y
1.0
7.019 0.000 0.000
0.000 5.574 0.000
-3.434 0.000 9.456
Tb Nd Y
7 3 1
Cartesian
0.000 0.000 0.000
0.028 2.787 2.736
0.070 2.787 6.028
0.093 0.000 7.842
3.491 0.000 1.613
3.514 2.787 3.427
3.556 2.787 6.720
-1.717 0.000 4.728
-1.451 2.787 9.439
5.035 2.787 0.016
1.792 0.000 4.728
```

Largest 10 diffraction maxima, low angle first, 15° ≤ 2θ ≤ 90°:
- 2θ = 31.21°, I 49
- 2θ = 31.37°, I 41
- 2θ = 31.52°, I 81
- 2θ = 31.64°, I 100
- 2θ = 31.88°, I 23
- 2θ = 32.11°, I 84
- 2θ = 32.64°, I 82
- 2θ = 56.91°, I 30
- 2θ = 57.59°, I 31
- 2θ = 62.59°, I 33

Diffraction record for Tb2Nd3Y8. The powder XRD pattern is simulated, not measured: it uses a DFT-relaxed cell (PBE, Alexandria) and λ = 1.5418 Å (Cu Kα).
Intensities are scaled so that the largest is 100.

Cell and atoms:
```
Tb2Nd3Y8
1.0
11.503 -3.480 0.000
11.503 3.480 0.000
-1.386 0.000 5.485
Tb Nd Y
2 3 8
Cartesian
4.808 0.000 1.221
16.811 0.000 4.264
10.810 1.908 2.743
11.503 0.000 0.000
10.810 -1.908 2.743
1.627 0.000 0.414
7.498 1.820 1.900
6.046 0.000 4.451
14.122 1.820 3.586
7.498 -1.820 1.900
15.574 0.000 1.034
14.122 -1.820 3.586
19.993 0.000 5.071
```

Largest 10 diffraction maxima, low angle first, 15° ≤ 2θ ≤ 90°:
- 2θ = 15.89°, I 16
- 2θ = 23.94°, I 16
- 2θ = 30.42°, I 100
- 2θ = 31.54°, I 49
- 2θ = 31.63°, I 59
- 2θ = 32.24°, I 54
- 2θ = 35.33°, I 17
- 2θ = 36.39°, I 41
- 2θ = 55.58°, I 18
- 2θ = 62.55°, I 16

Diffraction record for Tb5Nd6Y2. The powder XRD pattern is simulated, not measured: it uses a DFT-relaxed cell (PBE, Alexandria) and λ = 1.5418 Å (Cu Kα).
Intensities are scaled so that the largest is 100.

Cell and atoms:
```
Tb5Nd6Y2
1.0
11.788 0.000 0.000
0.000 20.693 0.000
0.000 0.000 3.637
Tb Nd Y
10 12 4
Cartesian
0.000 0.000 0.000
1.090 5.674 0.000
2.348 11.487 0.000
3.547 1.140 0.000
4.804 16.021 0.000
5.894 10.347 0.000
6.984 4.673 0.000
8.242 19.553 0.000
9.441 9.206 0.000
10.699 15.019 0.000
0.701 8.689 1.818
0.962 2.754 1.818
2.059 17.920 0.000
3.835 7.573 0.000
4.932 13.101 1.818
5.194 19.036 1.818
6.595 1.657 1.818
6.856 7.592 1.818
7.953 13.120 0.000
9.730 2.773 0.000
10.827 17.939 1.818
11.088 12.004 1.818
1.963 14.711 1.818
3.931 4.365 1.818
7.858 16.328 1.818
9.825 5.982 1.818
```

Largest 10 diffraction maxima, low angle first, 15° ≤ 2θ ≤ 90°:
- 2θ = 28.81°, I 20
- 2θ = 30.64°, I 55
- 2θ = 31.00°, I 51
- 2θ = 31.19°, I 67
- 2θ = 31.69°, I 100
- 2θ = 33.75°, I 37
- 2θ = 34.61°, I 23
- 2θ = 36.08°, I 28
- 2θ = 50.17°, I 23
- 2θ = 60.26°, I 23

Diffraction record for TbNd5Y6. The powder XRD pattern is simulated, not measured: it uses a DFT-relaxed cell (PBE, Alexandria) and λ = 1.5418 Å (Cu Kα).
Intensities are scaled so that the largest is 100.

Cell and atoms:
```
TbNd5Y6
1.0
3.139 -5.434 0.000
3.139 5.434 0.000
-2.083 0.000 11.709
Tb Nd Y
1 5 6
Cartesian
0.000 0.000 0.000
2.097 3.622 5.855
3.139 1.810 0.000
2.097 0.000 5.855
3.139 -1.810 0.000
2.097 -3.622 5.855
1.045 1.809 2.917
0.008 0.000 8.790
1.045 -1.809 2.917
3.150 1.809 8.792
4.187 0.000 2.919
3.150 -1.809 8.792
```

Largest 10 diffraction maxima, low angle first, 15° ≤ 2θ ≤ 90°:
- 2θ = 30.25°, I 100
- 2θ = 30.54°, I 32
- 2θ = 35.15°, I 67
- 2θ = 50.37°, I 24
- 2θ = 50.75°, I 23
- 2θ = 59.89°, I 14
- 2θ = 60.06°, I 28
- 2θ = 60.40°, I 14
- 2θ = 62.90°, I 12
- 2θ = 81.98°, I 11